(1)
Theoretical X-ray powder pattern
Compound: ZrCr2
Radiation: λ = 1.5418 Å (Cu Kα)
Structure: a DFT-relaxed cell (PBE, the Materials Project)

Structure:
```
ZrCr2
1.0
5.0992 0.0000 0.0000
-2.5496 4.4160 0.0000
0.0000 0.0000 8.1078
Zr Cr
4 8
Direct
0.3333 0.6667 0.0601
0.3333 0.6667 0.4399
0.6667 0.3333 0.5601
0.6667 0.3333 0.9399
0.0000 0.0000 0.0000
0.0000 0.0000 0.5000
0.1674 0.3349 0.7500
0.1674 0.8326 0.7500
0.3349 0.1674 0.2500
0.6651 0.8326 0.7500
0.8326 0.1674 0.2500
0.8326 0.6651 0.2500
```

The 10 most intense peaks (5 to 70 degrees two-theta), sorted by position:
2θ 29.9, I = 7, hkl 1 0 2
2θ 35.2, I = 49, hkl 1 1 0
2θ 39.1, I = 77, hkl 1 0 3
2θ 40.9, I = 13, hkl 2 0 0
2θ 41.9, I = 100, hkl 1 1 2
2θ 42.4, I = 64, hkl 2 0 1
2θ 44.7, I = 12, hkl 0 0 4
2θ 63.2, I = 8, hkl 3 0 0
2θ 65.8, I = 30, hkl 2 1 3
2θ 67.7, I = 22, hkl 3 0 2

(2)
Theoretical X-ray powder pattern
Compound: Ba11Si2N10
Radiation: λ = 1.5418 Å (Cu Kα)
Structure: a DFT-relaxed cell (PBE, the Materials Project)

Structure:
```
Ba11Si2N10
1.0
16.9737 0.0000 0.0000
0.0000 16.9737 0.0000
0.0000 0.0000 4.1427
Ba Si N
22 4 20
Direct
0.0000 0.0000 0.0000
0.0176 0.2051 0.5000
0.1090 0.6207 0.5000
0.1207 0.3910 0.0000
0.1703 0.8297 0.0000
0.2051 0.0176 0.5000
0.2949 0.5176 0.0000
0.3297 0.3297 0.5000
0.3793 0.8910 0.5000
0.3910 0.1207 0.0000
0.4824 0.7051 0.0000
0.5000 0.5000 0.5000
0.5176 0.2949 0.0000
0.6090 0.8793 0.0000
0.6207 0.1090 0.5000
0.6703 0.6703 0.5000
0.7051 0.4824 0.0000
0.7949 0.9824 0.5000
0.8297 0.1703 0.0000
0.8793 0.6090 0.0000
0.8910 0.3793 0.5000
0.9824 0.7949 0.5000
0.1856 0.1856 0.0000
0.3144 0.6856 0.5000
0.6856 0.3144 0.5000
0.8144 0.8144 0.0000
0.0268 0.6854 0.0000
0.0926 0.9074 0.5000
0.1179 0.1179 0.0000
0.1854 0.4732 0.5000
0.2470 0.7530 0.5000
0.2530 0.2530 0.0000
0.3146 0.9732 0.0000
0.3821 0.6179 0.5000
0.4074 0.4074 0.0000
0.4732 0.1854 0.5000
0.5268 0.8146 0.5000
0.5926 0.5926 0.0000
0.6179 0.3821 0.5000
0.6854 0.0268 0.0000
0.7470 0.7470 0.0000
0.7530 0.2470 0.5000
0.8146 0.5268 0.5000
0.8821 0.8821 0.0000
0.9074 0.0926 0.5000
0.9732 0.3146 0.0000
```

The 10 most intense peaks (5 to 70 degrees two-theta), sorted by position:
2θ 26.1, I = 58, hkl 2 2 1
2θ 26.8, I = 83, hkl 5 1 0
2θ 28.7, I = 100, hkl 3 2 1
2θ 29.8, I = 41, hkl 4 4 0
2θ 31.1, I = 26, hkl 3 3 1
2θ 34.1, I = 20, hkl 4 3 1
2θ 43.6, I = 37, hkl 7 1 1
2θ 43.7, I = 22, hkl 0 0 2
2θ 51.0, I = 26, hkl 9 3 0
2θ 52.0, I = 27, hkl 5 1 2

(3)
Theoretical X-ray powder pattern
Compound: Tb5Bi3
Radiation: λ = 1.5418 Å (Cu Kα)
Structure: a DFT-relaxed cell (PBE, the Materials Project)

Structure:
```
Tb5Bi3
1.0
9.2504 0.0000 0.0000
-4.6252 8.0111 0.0000
0.0000 0.0000 6.3832
Tb Bi
10 6
Direct
0.0000 0.2445 0.2500
0.0000 0.7555 0.7500
0.2445 0.0000 0.2500
0.2445 0.2445 0.7500
0.3333 0.6667 0.0000
0.3333 0.6667 0.5000
0.6667 0.3333 0.0000
0.6667 0.3333 0.5000
0.7555 0.0000 0.7500
0.7555 0.7555 0.2500
0.0000 0.3874 0.7500
0.0000 0.6126 0.2500
0.3874 0.0000 0.7500
0.3874 0.3874 0.2500
0.6126 0.0000 0.2500
0.6126 0.6126 0.7500
```

The 10 most intense peaks (5 to 70 degrees two-theta), sorted by position:
2θ 28.0, I = 23, hkl 0 0 2
2θ 29.5, I = 24, hkl 2 1 0
2θ 32.7, I = 100, hkl 2 1 1
2θ 33.6, I = 54, hkl 3 0 0
2θ 34.1, I = 76, hkl 1 1 2
2θ 43.1, I = 18, hkl 3 1 1
2θ 48.6, I = 19, hkl 2 2 2
2θ 52.6, I = 27, hkl 2 1 3
2θ 65.1, I = 20, hkl 5 0 2
2θ 68.5, I = 14, hkl 3 0 4

(4)
Theoretical X-ray powder pattern
Compound: LiLu2Al2O6
Radiation: λ = 1.5418 Å (Cu Kα)
Structure: a DFT-relaxed cell (PBE, the Materials Project)

Structure:
```
LiLu2Al2O6
1.0
3.3306 0.0000 0.0000
-1.6653 2.8844 0.0000
0.0000 0.0000 14.1881
Li Lu Al O
1 2 2 6
Direct
0.0000 0.0000 0.0000
0.3333 0.6667 0.4106
0.3333 0.6667 0.8230
0.0000 0.0000 0.6176
0.6667 0.3333 0.2042
0.0000 0.0000 0.4868
0.0000 0.0000 0.7493
0.3333 0.6667 0.1998
0.3333 0.6667 0.6188
0.6667 0.3333 0.3357
0.6667 0.3333 0.9055
```

The 10 most intense peaks (5 to 70 degrees two-theta), sorted by position:
2θ 6.2, I = 83, hkl 0 0 1
2θ 12.5, I = 100, hkl 0 0 2
2θ 18.8, I = 26, hkl 0 0 3
2θ 31.0, I = 52, hkl 1 0 0
2θ 31.5, I = 24, hkl 0 0 5
2θ 33.5, I = 65, hkl 1 0 2
2θ 36.5, I = 43, hkl 0 1 3
2θ 44.8, I = 52, hkl 1 0 5
2θ 55.2, I = 24, hkl 1 1 0
2θ 55.4, I = 25, hkl 1 0 7

(5)
Theoretical X-ray powder pattern
Compound: KTeO7
Radiation: λ = 1.5418 Å (Cu Kα)
Structure: a DFT-relaxed cell (PBE, the Materials Project)

Structure:
```
KTeO7
1.0
8.7668 0.0000 0.0000
0.0000 6.2298 0.0000
-1.8851 0.0000 13.3710
K Te O
4 4 28
Direct
0.0530 0.2473 0.3830
0.0530 0.2527 0.8830
0.9470 0.7473 0.1170
0.9470 0.7527 0.6170
0.2787 0.2321 0.1596
0.2787 0.2679 0.6596
0.7213 0.7321 0.3404
0.7213 0.7679 0.8404
0.0715 0.1966 0.6293
0.0715 0.3034 0.1293
0.2236 0.5357 0.5702
0.2236 0.9643 0.0702
0.2509 0.6289 0.2821
0.2509 0.8711 0.7821
0.2949 0.1210 0.2869
0.2949 0.3790 0.7869
0.3153 0.6240 0.0236
0.3153 0.8760 0.5236
0.3630 0.6849 0.3424
0.3630 0.8151 0.8424
0.3655 0.6980 0.5579
0.3655 0.8020 0.0579
0.6345 0.1980 0.9421
0.6345 0.3020 0.4421
0.6370 0.1849 0.1576
0.6370 0.3151 0.6576
0.6847 0.1240 0.4764
0.6847 0.3760 0.9764
0.7051 0.6210 0.2131
0.7051 0.8790 0.7131
0.7491 0.1289 0.2179
0.7491 0.3711 0.7179
0.7764 0.0357 0.9298
0.7764 0.4643 0.4298
0.9285 0.6966 0.8707
0.9285 0.8034 0.3707
```

The 10 most intense peaks (5 to 70 degrees two-theta), sorted by position:
2θ 15.6, I = 84, hkl 1 0 -2
2θ 17.5, I = 100, hkl 1 1 0
2θ 17.8, I = 46, hkl 1 0 2
2θ 19.5, I = 55, hkl 0 1 2
2θ 20.5, I = 69, hkl 2 0 0
2θ 22.9, I = 67, hkl 1 1 2
2θ 27.0, I = 94, hkl 2 1 -2
2θ 28.7, I = 53, hkl 0 2 0
2θ 30.3, I = 55, hkl 0 1 4
2θ 30.9, I = 66, hkl 3 0 0